Structure and simulated powder diffractogram of Pm3DyTm4 (a DFT-relaxed cell (GGA-PBE, Alexandria); Cu Ka).
Lines closer than 0.1° are merged.

Main lines, low angle first (5° ≤ 2θ ≤ 70°):
30.79°, d 2.904, I = 100
31.02°, d 2.883, I = 33
35.77°, d 2.510, I = 67
51.33°, d 1.780, I = 24
51.63°, d 1.770, I = 24
61.06°, d 1.518, I = 14
61.20°, d 1.515, I = 28
61.46°, d 1.509, I = 14
64.14°, d 1.452, I = 12
64.66°, d 1.442, I = 4

a b c (Å): 6.1637 3.5612 11.7147
angles (deg): 90.00 100.12 90.00
Fractional coordinates of all 8 atoms:
Pm  0.0000  0.0000  0.0000
Pm  0.0000  0.5000  0.5000
Pm  0.5000  0.0000  0.5000
Dy  0.5000  0.5000  0.0000
Tm  0.2498  0.5000  0.2487
Tm  0.2508  0.0000  0.7514
Tm  0.7492  0.0000  0.2486
Tm  0.7502  0.5000  0.7513

Structure and simulated powder diffractogram of PmDy2Tm12 (a DFT-relaxed cell (GGA-PBE, Alexandria); Cu Ka).
Lines closer than 0.1° are merged.

Main lines, low angle first (5° ≤ 2θ ≤ 70°):
30.44°, d 2.936, I = 16
30.87°, d 2.897, I = 15
31.39°, d 2.850, I = 33
31.95°, d 2.801, I = 48
32.65°, d 2.742, I = 100
34.49°, d 2.601, I = 29
34.87°, d 2.573, I = 17
48.48°, d 1.878, I = 13
51.11°, d 1.787, I = 13
57.39°, d 1.606, I = 20
59.24°, d 1.560, I = 13
61.56°, d 1.507, I = 15

a b c (Å): 3.5740 5.6021 23.2432
angles (deg): 90.00 94.40 90.00
Fractional coordinates of all 15 atoms:
Pm  0.0000  0.0000  0.0000
Dy  0.1405  0.0000  0.2862
Dy  0.8595  0.0000  0.7138
Tm  0.0943  0.5000  0.1943
Tm  0.2204  0.5000  0.4431
Tm  0.2886  0.0000  0.5743
Tm  0.3411  0.5000  0.6769
Tm  0.4282  0.0000  0.8507
Tm  0.4688  0.5000  0.9316
Tm  0.5312  0.5000  0.0684
Tm  0.5718  0.0000  0.1493
Tm  0.6589  0.5000  0.3231
Tm  0.7114  0.0000  0.4257
Tm  0.7796  0.5000  0.5569
Tm  0.9057  0.5000  0.8057

Structure and simulated powder diffractogram of PmDy7Tm5 (a DFT-relaxed cell (GGA-PBE, Alexandria); Cu Ka).
Lines closer than 0.1° are merged.

Main lines, low angle first (5° ≤ 2θ ≤ 70°):
26.89°, d 3.316, I = 23
27.57°, d 3.236, I = 28
31.19°, d 2.868, I = 100
31.41°, d 2.848, I = 56
31.76°, d 2.818, I = 77
32.20°, d 2.780, I = 21
35.18°, d 2.551, I = 86
35.91°, d 2.501, I = 29
44.86°, d 2.020, I = 18
56.92°, d 1.618, I = 24
58.14°, d 1.587, I = 33
66.36°, d 1.409, I = 23

a b c (Å): 8.6458 8.6458 8.6458
angles (deg): 134.87 99.97 96.97
Fractional coordinates of all 13 atoms:
Pm  0.0000  0.0000  0.0000
Dy  0.2254  0.5539  0.6715
Dy  0.3042  0.3042  0.0000
Dy  0.3798  0.0525  0.3272
Dy  0.6110  0.6110  0.0000
Dy  0.7253  0.0525  0.6728
Dy  0.8001  0.3001  0.5000
Dy  0.8824  0.5539  0.3285
Tm  0.0328  0.0378  0.4652
Tm  0.0328  0.5676  0.9950
Tm  0.3044  0.8044  0.5000
Tm  0.5726  0.0378  0.0050
Tm  0.5726  0.5676  0.5348

Structure and simulated powder diffractogram of Pm2Dy2Y6Tm (a DFT-relaxed cell (GGA-PBE, Alexandria); Cu Ka).
Lines closer than 0.1° are merged.

Main lines, low angle first (5° ≤ 2θ ≤ 70°):
8.34°, d 10.600, I = 10
30.73°, d 2.910, I = 30
30.87°, d 2.897, I = 24
31.57°, d 2.834, I = 38
32.12°, d 2.787, I = 100
33.83°, d 2.650, I = 19
44.73°, d 2.026, I = 18
46.94°, d 1.936, I = 15
52.81°, d 1.734, I = 11
56.56°, d 1.627, I = 26
62.20°, d 1.492, I = 16
62.84°, d 1.479, I = 13

a b c (Å): 6.6565 6.6565 10.5999
angles (deg): 90.00 90.00 129.60
Fractional coordinates of all 11 atoms:
Pm  0.1336  0.8664  0.0000
Pm  0.8664  0.1336  0.0000
Dy  0.2066  0.7934  0.5000
Dy  0.7934  0.2066  0.5000
Y  0.0000  0.0000  0.2974
Y  0.0000  0.0000  0.7026
Y  0.3472  0.6528  0.2089
Y  0.3472  0.6528  0.7911
Y  0.6528  0.3472  0.2089
Y  0.6528  0.3472  0.7911
Tm  0.5000  0.5000  0.5000

Structure and simulated powder diffractogram of Pm2Dy2Y4Tm (a DFT-relaxed cell (GGA-PBE, Alexandria); Cu Ka).
Lines closer than 0.1° are merged.

Main lines, low angle first (5° ≤ 2θ ≤ 70°):
28.82°, d 3.098, I = 46
31.09°, d 2.877, I = 49
31.84°, d 2.811, I = 100
33.53°, d 2.672, I = 89
40.15°, d 2.246, I = 18
45.53°, d 1.992, I = 14
50.68°, d 1.801, I = 37
54.67°, d 1.679, I = 21
57.97°, d 1.591, I = 19
60.66°, d 1.527, I = 43
61.10°, d 1.517, I = 15
62.14°, d 1.494, I = 15

a b c (Å): 9.5251 9.5251 9.5785
angles (deg): 115.21 115.21 21.82
Fractional coordinates of all 9 atoms:
Pm  0.1653  0.1653  0.4974
Pm  0.8347  0.8347  0.5026
Dy  0.3521  0.3521  0.8356
Dy  0.6479  0.6479  0.1644
Y  0.0192  0.0192  0.8345
Y  0.3146  0.3146  0.1660
Y  0.6854  0.6854  0.8340
Y  0.9808  0.9808  0.1655
Tm  0.5000  0.5000  0.5000

Structure and simulated powder diffractogram of Pm5Dy2YTm (a DFT-relaxed cell (GGA-PBE, Alexandria); Cu Ka).
Lines closer than 0.1° are merged.

Main lines, low angle first (5° ≤ 2θ ≤ 70°):
26.52°, d 3.360, I = 8
27.62°, d 3.229, I = 17
30.10°, d 2.969, I = 38
31.72°, d 2.821, I = 37
31.92°, d 2.803, I = 100
33.72°, d 2.658, I = 14
42.55°, d 2.125, I = 11
46.97°, d 1.935, I = 11
50.68°, d 1.801, I = 11
56.63°, d 1.625, I = 20
58.65°, d 1.574, I = 12
61.03°, d 1.518, I = 13

a b c (Å): 10.5531 10.5531 10.6318
angles (deg): 90.00 90.00 148.99
Fractional coordinates of all 18 atoms:
Pm  0.0159  0.9841  0.5000
Pm  0.2787  0.7213  0.7957
Pm  0.2978  0.7022  0.1911
Pm  0.3844  0.6156  0.5044
Pm  0.4823  0.5177  0.2263
Pm  0.5177  0.4823  0.7263
Pm  0.6156  0.3844  0.0044
Pm  0.7022  0.2978  0.6911
Pm  0.7213  0.2787  0.2957
Pm  0.9841  0.0159  0.0000
Dy  0.1130  0.8870  0.2203
Dy  0.1144  0.8856  0.7934
Dy  0.8856  0.1144  0.2934
Dy  0.8870  0.1130  0.7203
Y  0.4077  0.5923  0.9442
Y  0.5923  0.4077  0.4442
Tm  0.1989  0.8011  0.4942
Tm  0.8011  0.1989  0.9942